Starting from the GGA-PBE geometry in Alexandria, the X-ray diffraction stick pattern of Rb2US2Cl4 was computed for Cu Kα X-rays.
No peak broadening, texture or thermal motion is included.

Cell and atoms:
Lattice parameters (Å, degrees): 7.331 7.331 6.188 91.81 91.81 60.51
Positions (direct):
Rb (0.165, 0.165, 0.247)
Rb (0.835, 0.835, 0.753)
U (0.500, 0.500, 0.500)
S (0.347, 0.347, 0.709)
S (0.653, 0.653, 0.291)
Cl (0.161, 0.668, 0.257)
Cl (0.332, 0.839, 0.743)
Cl (0.668, 0.161, 0.257)
Cl (0.839, 0.332, 0.743)

The 6 most intense peaks (5 to 70 degrees two-theta), most intense first:
d = 4.482 Å, 2θ 19.8, intensity 100; d = 2.814 Å, 2θ 31.8, intensity 100; d = 3.663 Å, 2θ 24.3, intensity 63; d = 6.380 Å, 2θ 13.9, intensity 62; d = 6.184 Å, 2θ 14.3, intensity 59; d = 2.859 Å, 2θ 31.3, intensity 46